(1)
Diffraction record for La21Mn8Sn7C12. The powder XRD pattern is theoretical, not measured: it uses DFT lattice parameters and positions (GGA-PBE) and Cu Ka.

Crystal structure
a = 16.5464 Å, b = 16.5464 Å, c = 16.5464 Å
α = 90.00°, β = 90.00°, γ = 90.00°
Space group Fm-3m (No. 225)
One atom of each set of equivalent atoms:
La 0.0000 0.0000 0.0000 (multiplicity 4)
La 0.0000 0.1691 0.3309 (multiplicity 48)
La 0.1342 0.1342 0.1342 (multiplicity 32)
Mn 0.1974 0.1974 0.3026 (multiplicity 32)
Sn 0.0000 0.0000 0.2096 (multiplicity 24)
Sn 0.0000 0.0000 0.5000 (multiplicity 4)
C 0.1081 0.2500 0.2500 (multiplicity 48)

Peak list (10 most intense, 10 to 80 degrees two-theta, sorted by position)
2θ/deg, Rel. int., hkl
28.02, 100, 3 3 3
30.56, 37, 4 4 0
32.00, 63, 5 3 1
32.47, 75, 6 0 0
41.94, 25, 5 5 3
46.57, 33, 6 6 0
54.32, 21, 8 4 4
55.24, 20, 9 3 3
64.45, 16, 9 5 5
75.07, 17, 9 9 3

(2)
Diffraction record for LaPa2MoC4. The powder XRD pattern is theoretical, not measured: it uses DFT lattice parameters and positions (GGA-PBE) and Cu Ka.

Crystal structure
a = 3.6220 Å, b = 12.2005 Å, c = 12.3159 Å
α = 90.00°, β = 90.00°, γ = 90.00°
Space group Cmcm (No. 63)
One atom of each set of equivalent atoms:
La 0.0000 0.1004 0.2500 (multiplicity 4)
Pa 0.0000 0.3695 0.0437 (multiplicity 8)
Mo 0.0000 0.1626 0.7500 (multiplicity 4)
C 0.0000 0.0000 0.0000 (multiplicity 4)
C 0.0000 0.2568 0.6186 (multiplicity 8)
C 0.0000 0.4213 0.2500 (multiplicity 4)

Peak list (10 most intense, 10 to 80 degrees two-theta, sorted by position)
2θ/deg, Rel. int., hkl
26.16, 54, 0 2 3
29.00, 31, 0 0 4
29.28, 54, 0 4 0
29.53, 100, 1 1 2
33.81, 22, 1 1 3
33.93, 22, 1 3 1
36.28, 73, 1 3 2
39.45, 24, 0 2 5
45.13, 23, 1 1 5
50.08, 35, 1 3 5

(3)
Diffraction record for LaUMoC3. The powder XRD pattern is theoretical, not measured: it uses DFT lattice parameters and positions (GGA-PBE) and Cu Ka.

Crystal structure
a = 7.4013 Å, b = 3.6737 Å, c = 8.0765 Å
α = 90.00°, β = 98.53°, γ = 90.00°
Space group P2_1/m (No. 11)
One atom of each set of equivalent atoms:
La 0.1691 0.2500 0.1774 (multiplicity 2)
U 0.3580 0.7500 0.8423 (multiplicity 2)
Mo 0.1012 0.2500 0.6002 (multiplicity 2)
C 0.1373 0.2500 0.8520 (multiplicity 2)
C 0.1714 0.7500 0.5226 (multiplicity 2)
C 0.4376 0.7500 0.1181 (multiplicity 2)

Peak list (10 most intense, 10 to 80 degrees two-theta, sorted by position)
2θ/deg, Rel. int., hkl
11.08, 42, 0 0 1
15.16, 77, 1 0 -1
26.71, 57, 0 1 1
28.29, 36, 2 0 1
30.11, 25, 1 1 1
30.59, 68, 2 0 -2
33.13, 86, 0 1 2
33.66, 35, 0 0 3
34.60, 100, 2 1 0
35.25, 29, 2 1 -1

(4)
Diffraction record for LaC3N6. The powder XRD pattern is theoretical, not measured: it uses DFT lattice parameters and positions (GGA-PBE) and Cu Ka.

Crystal structure
a = 11.6468 Å, b = 11.6468 Å, c = 4.0208 Å
α = 90.00°, β = 90.00°, γ = 120.00°
Space group R3m (No. 160, hexagonal axes)
One atom of each set of equivalent atoms:
La 0.0000 0.0000 0.0000 (multiplicity 3)
C 0.1849 0.3699 0.1101 (multiplicity 9)
N 0.0817 0.5408 0.7146 (multiplicity 9)
N 0.1756 0.0878 0.4966 (multiplicity 9)

Peak list (10 most intense, 10 to 80 degrees two-theta, sorted by position)
2θ/deg, Rel. int., hkl
15.21, 100, 1 1 0
23.82, 28, 1 0 1
26.51, 12, 3 0 0
28.39, 31, 0 2 1
30.71, 30, 2 2 0
32.36, 37, 2 1 1
39.23, 26, 1 3 1
41.01, 14, 4 1 0
45.21, 17, 3 2 1
46.03, 13, 0 1 2

(5)
Diffraction record for LaC6N9. The powder XRD pattern is theoretical, not measured: it uses DFT lattice parameters and positions (GGA-PBE) and Cu Ka.

Crystal structure
a = 7.9470 Å, b = 12.0397 Å, c = 10.7133 Å
α = 90.00°, β = 90.00°, γ = 90.00°
Space group Cmcm (No. 63)
One atom of each set of equivalent atoms:
La 0.0000 0.2184 0.2500 (multiplicity 4)
C 0.1423 0.0844 0.7500 (multiplicity 8)
C 0.1430 0.3531 0.5544 (multiplicity 16)
N 0.0000 0.0309 0.7500 (multiplicity 4)
N 0.0000 0.3439 0.0038 (multiplicity 8)
N 0.2220 0.1415 0.0995 (multiplicity 16)
N 0.2245 0.3725 0.2500 (multiplicity 8)

Peak list (10 most intense, 10 to 80 degrees two-theta, sorted by position)
2θ/deg, Rel. int., hkl
14.72, 37, 0 2 0
15.71, 100, 1 1 1
16.55, 20, 0 0 2
21.32, 22, 1 1 2
26.23, 35, 1 3 1
28.38, 30, 1 1 3
30.01, 16, 1 3 2
31.73, 14, 2 2 2
35.49, 14, 1 3 3
35.70, 15, 3 1 1

(6)
Diffraction record for LaC2N3. The powder XRD pattern is theoretical, not measured: it uses DFT lattice parameters and positions (GGA-PBE) and Cu Ka.

Crystal structure
a = 5.8787 Å, b = 7.8233 Å, c = 3.8630 Å
α = 90.00°, β = 90.00°, γ = 90.00°
Space group Cmm2 (No. 35)
One atom of each set of equivalent atoms:
La 0.0000 0.0000 0.0000 (multiplicity 2)
C 0.0000 0.3448 0.6123 (multiplicity 4)
N 0.0000 0.1997 0.4782 (multiplicity 4)
N 0.0000 0.5000 0.4647 (multiplicity 2)

Peak list (10 most intense, 10 to 80 degrees two-theta, sorted by position)
2θ/deg, Rel. int., hkl
18.88, 91, 1 1 0
22.73, 30, 0 2 0
29.94, 100, 1 1 1
30.41, 43, 2 0 0
32.58, 40, 0 2 1
37.74, 17, 1 3 0
44.67, 35, 1 3 1
45.16, 31, 2 2 1
51.13, 17, 1 1 2
53.75, 18, 3 1 1

(7)
Diffraction record for La6CN4. The powder XRD pattern is theoretical, not measured: it uses DFT lattice parameters and positions (GGA-PBE) and Cu Ka.

Crystal structure
a = 3.7353 Å, b = 12.2788 Å, c = 19.0797 Å
α = 90.00°, β = 90.00°, γ = 90.00°
Space group Cmcm (No. 63)
One atom of each set of equivalent atoms:
La 0.0000 0.0000 0.0000 (multiplicity 4)
La 0.0000 0.1836 0.2500 (multiplicity 4)
La 0.0000 0.2791 0.5793 (multiplicity 8)
La 0.0000 0.4498 0.1599 (multiplicity 8)
C 0.0000 0.1754 0.7500 (multiplicity 4)
N 0.0000 0.0825 0.1292 (multiplicity 8)
N 0.0000 0.3603 0.0443 (multiplicity 8)

Peak list (10 most intense, 10 to 80 degrees two-theta, sorted by position)
2θ/deg, Rel. int., hkl
28.65, 63, 1 1 3
29.47, 41, 0 4 1
31.28, 51, 1 1 4
31.69, 100, 0 2 6
32.80, 29, 1 3 1
33.82, 67, 1 3 2
35.47, 32, 1 3 3
48.76, 23, 2 0 0
58.03, 31, 0 0 12
59.35, 43, 2 2 6

(8)
Diffraction record for La2PbC2N6. The powder XRD pattern is theoretical, not measured: it uses DFT lattice parameters and positions (GGA-PBE) and Cu Ka.

Crystal structure
a = 5.1566 Å, b = 5.4985 Å, c = 6.5420 Å
α = 65.58°, β = 69.66°, γ = 81.39°
Space group P-1 (No. 2)
One atom of each set of equivalent atoms:
La 0.2452 0.2036 0.1855 (multiplicity 2)
Pb 0.5000 0.5000 0.5000 (multiplicity 1)
C 0.0124 0.7149 0.2620 (multiplicity 2)
N 0.1153 0.4476 0.7910 (multiplicity 2)
N 0.1397 0.1506 0.6020 (multiplicity 2)
N 0.2982 0.7253 0.1698 (multiplicity 2)

Peak list (10 most intense, 10 to 80 degrees two-theta, sorted by position)
2θ/deg, Rel. int., hkl
22.25, 83, 1 1 1
25.70, 100, 1 -1 0
27.84, 78, 1 0 -1
28.05, 58, 0 1 -1
29.05, 31, 1 1 2
29.64, 58, 0 1 2
31.20, 68, 1 0 2
33.01, 53, 0 2 1
35.24, 35, 1 2 1
36.74, 31, 2 1 1

(9)
Diffraction record for La3RhC2N6. The powder XRD pattern is theoretical, not measured: it uses DFT lattice parameters and positions (GGA-PBE) and Cu Ka.

Crystal structure
a = 5.3460 Å, b = 5.3460 Å, c = 6.6758 Å
α = 90.00°, β = 90.00°, γ = 120.00°
Space group P-3m1 (No. 164)
One atom of each set of equivalent atoms:
La 0.0000 0.0000 0.0000 (multiplicity 1)
La 0.3333 0.6667 0.6666 (multiplicity 2)
Rh 0.0000 0.0000 0.5000 (multiplicity 1)
C 0.3333 0.6667 0.2666 (multiplicity 2)
N 0.1844 0.3688 0.2677 (multiplicity 6)

Peak list (10 most intense, 10 to 80 degrees two-theta, sorted by position)
2θ/deg, Rel. int., hkl
23.38, 57, 1 0 1
33.09, 100, 0 1 2
33.53, 91, 1 1 0
41.28, 29, 0 2 1
47.82, 43, 2 0 2
53.59, 17, 1 1 3
58.81, 18, 1 0 4
59.66, 33, 1 2 2
59.94, 17, 3 0 0
79.33, 16, 2 1 4

(10)
Diffraction record for La6C2S3N. The powder XRD pattern is theoretical, not measured: it uses DFT lattice parameters and positions (GGA-PBE) and Cu Ka.

Crystal structure
a = 6.8521 Å, b = 11.8648 Å, c = 7.1376 Å
α = 90.00°, β = 108.67°, γ = 90.00°
Space group C2/m (No. 12)
One atom of each set of equivalent atoms:
La 0.2377 0.1657 0.2158 (multiplicity 8)
La 0.2405 0.5000 0.2166 (multiplicity 4)
C 0.0000 0.3336 0.0000 (multiplicity 4)
S 0.0000 0.1680 0.5000 (multiplicity 4)
S 0.0000 0.5000 0.5000 (multiplicity 2)
N 0.0000 0.0000 0.0000 (multiplicity 2)

Peak list (10 most intense, 10 to 80 degrees two-theta, sorted by position)
2θ/deg, Rel. int., hkl
26.36, 34, 0 0 2
27.48, 100, 2 0 0
31.51, 44, 2 0 -2
31.52, 89, 1 3 1
44.45, 40, 2 0 2
45.88, 49, 0 6 0
53.69, 28, 0 6 2
56.73, 24, 4 0 0
73.75, 24, 5 3 -1
75.83, 23, 5 3 -3

(11)
Diffraction record for LaNdC4. The powder XRD pattern is theoretical, not measured: it uses DFT lattice parameters and positions (GGA-PBE) and Cu Ka.

Crystal structure
a = 3.9005 Å, b = 3.9005 Å, c = 6.5158 Å
α = 90.00°, β = 90.00°, γ = 90.00°
Space group P4/mmm (No. 123)
One atom of each set of equivalent atoms:
La 0.0000 0.0000 0.0000 (multiplicity 1)
Nd 0.5000 0.5000 0.5000 (multiplicity 1)
C 0.0000 0.0000 0.4004 (multiplicity 2)
C 0.5000 0.5000 0.0995 (multiplicity 2)

Peak list (10 most intense, 10 to 80 degrees two-theta, sorted by position)
2θ/deg, Rel. int., hkl
26.64, 100, 1 0 1
27.38, 35, 0 0 2
32.46, 54, 1 1 0
42.97, 40, 1 1 2
46.57, 19, 2 0 0
47.94, 29, 1 0 3
54.45, 30, 2 1 1
54.87, 19, 2 0 2
66.68, 8, 1 1 4
69.06, 19, 2 1 3